Diffraction record for SmPaCSe. The PXRD pattern is calculated, not measured: it uses a DFT-relaxed cell (PBE, Alexandria) and copper Kα.

Largest 10 diffraction maxima, by angle, 2θ from 10° to 90°:
- 2θ 25.83, I = 202
- 2θ 27.48, I = 356
- 2θ 28.25, I = 270
- 2θ 30.20, I = 1000
- 2θ 35.48, I = 377
- 2θ 40.34, I = 162
- 2θ 46.00, I = 445
- 2θ 53.50, I = 172
- 2θ 56.02, I = 180
- 2θ 61.97, I = 191

Structure:
```
SmPaCSe
1.0
1.9732 1.1392 13.7977
-1.9732 1.1392 13.7977
0.0000 -2.2784 13.7977
Sm Pa C Se
2 2 2 2
direct
0.2027 0.2027 0.2027
0.7973 0.7973 0.7973
0.3680 0.3680 0.3680
0.6320 0.6320 0.6320
0.3118 0.3118 0.3118
0.6882 0.6882 0.6882
0.0848 0.0848 0.0848
0.9152 0.9152 0.9152
```